This entry pairs a crystal structure of Ho6Er3Sc with its theoretical PXRD pattern. Radiation: copper Kα. Structure: the PBE geometry in Alexandria.
No peak broadening, texture or thermal motion is included.

Principal peaks in the range 5° ≤ 2θ ≤ 70°, low angle first:
28.61 deg, I 21
29.19 deg, I 43
29.33 deg, I 11
30.88 deg, I 22
32.24 deg, I 100
34.55 deg, I 15
35.16 deg, I 23
50.69 deg, I 15
51.93 deg, I 11
59.64 deg, I 12
60.54 deg, I 12
61.35 deg, I 12

Crystal structure
```
data_Ho6Er3Sc
_chemical_formula_sum 'Ho12 Er6 Sc2'
_symmetry_space_group_name_H-M 'P 1'
_symmetry_Int_Tables_number 1
_cell_length_a 10.8040
_cell_length_b 10.8040
_cell_length_c 6.0906
_cell_angle_alpha 90.00
_cell_angle_beta 90.00
_cell_angle_gamma 119.96
loop_
_symmetry_equiv_pos_as_xyz
'x,y,z'
loop_
_atom_site_label
_atom_site_fract_x
_atom_site_fract_y
_atom_site_fract_z
Ho1 0.0468 0.4680 0.9284
Ho2 0.0483 0.9517 0.5000
Ho3 0.2781 0.7219 0.2172
Ho4 0.2892 0.3818 0.1108
Ho5 0.3818 0.2892 0.6108
Ho6 0.4680 0.0468 0.4284
Ho7 0.5320 0.9532 0.9284
Ho8 0.6182 0.7108 0.1108
Ho9 0.7108 0.6182 0.6108
Ho10 0.7219 0.2781 0.7172
Ho11 0.9517 0.0483 0.0000
Ho12 0.9532 0.5320 0.4284
Er1 0.0551 0.2754 0.5296
Er2 0.2754 0.0551 0.0296
Er3 0.3889 0.6111 0.6415
Er4 0.6111 0.3889 0.1415
Er5 0.7246 0.9449 0.5296
Er6 0.9449 0.7246 0.0296
Sc1 0.2059 0.7941 0.7080
Sc2 0.7941 0.2059 0.2080
```